This entry pairs a crystal structure of In2BiMoO8 with its simulated X-ray diffraction stick pattern. Radiation: Cu Ka. Structure: a structure optimized by DFT (PBE+U).
Kinematic intensities with the Lorentz-polarization factor, no thermal factor.

Atomic structure:
Cell: 4.941 4.941 6.662 Å, 90.00 90.00 91.69°
Positions (direct):
In 0.000 0.000 0.241
In 0.000 0.000 0.759
Bi 0.500 0.500 0.500
Mo 0.500 0.500 0.000
O 0.186 0.186 0.500
O 0.214 0.214 0.000
O 0.315 0.685 0.217
O 0.315 0.685 0.783
O 0.685 0.315 0.217
O 0.685 0.315 0.783
O 0.786 0.786 0.000
O 0.814 0.814 0.500

Main lines, by angle (15 to 90 degrees two-theta):
| d_spacing | intensity |
| --- | --- |
| 3.545 | 62.4 |
| 3.442 | 56.3 |
| 2.762 | 100.0 |
| 2.469 | 29.4 |
| 1.856 | 41.7 |
| 1.826 | 38.5 |